This entry pairs a crystal structure of Cs2CdO2 with its computed PXRD pattern. Radiation: Cu Kα (weighted mean of Kα1 and Kα2). Structure: the PBE geometry in Alexandria.

Peak list (8 most intense, 2θ from 15° to 90°, by angle)
| 2θ/deg | I_rel |
| --- | --- |
| 24.6 | 38.9 |
| 27.0 | 100.0 |
| 28.8 | 41.5 |
| 29.2 | 37.5 |
| 30.3 | 75.8 |
| 30.4 | 30.5 |
| 31.6 | 28.8 |
| 34.5 | 32.1 |

Structural model:
Lattice parameters (Å, degrees): 11.2571 6.9489 6.4597 90.00 90.00 90.00
Sites, in units of the cell vectors:
Cs (0.1563, 0.1284, 0.0980)
Cs (0.1563, 0.8716, 0.5980)
Cs (0.3437, 0.3716, 0.5980)
Cs (0.3437, 0.6284, 0.0980)
Cs (0.6563, 0.3716, 0.9020)
Cs (0.6563, 0.6284, 0.4020)
Cs (0.8437, 0.1284, 0.4020)
Cs (0.8437, 0.8716, 0.9020)
Cd (0.0000, 0.4669, 0.7500)
Cd (0.0000, 0.5331, 0.2500)
Cd (0.5000, 0.0331, 0.2500)
Cd (0.5000, 0.9669, 0.7500)
O (0.0921, 0.3243, 0.4849)
O (0.0921, 0.6757, 0.9849)
O (0.4079, 0.1757, 0.9849)
O (0.4079, 0.8243, 0.4849)
O (0.5921, 0.1757, 0.5151)
O (0.5921, 0.8243, 0.0151)
O (0.9079, 0.3243, 0.0151)
O (0.9079, 0.6757, 0.5151)

=====

This entry pairs a crystal structure of Cs2CdP2O7 with its computed PXRD pattern. Radiation: Cu Kα (weighted mean of Kα1 and Kα2). Structure: the PBE geometry in Alexandria.

Peak list (8 most intense, 2θ from 15° to 90°, by angle)
| 2θ/deg | I_rel |
| --- | --- |
| 23.7 | 24.6 |
| 24.2 | 100.0 |
| 26.0 | 40.4 |
| 26.7 | 54.6 |
| 30.8 | 26.7 |
| 32.0 | 35.7 |
| 40.2 | 18.6 |
| 42.2 | 28.8 |

Structural model:
Lattice parameters (Å, degrees): 16.6821 5.5872 10.2007 90.00 90.00 90.00
Sites, in units of the cell vectors:
Cs (0.0780, 0.2500, 0.1419)
Cs (0.1081, 0.7500, 0.5249)
Cs (0.3919, 0.2500, 0.0249)
Cs (0.4220, 0.7500, 0.6419)
Cs (0.5780, 0.2500, 0.3581)
Cs (0.6081, 0.7500, 0.9751)
Cs (0.8919, 0.2500, 0.4751)
Cs (0.9220, 0.7500, 0.8581)
Cd (0.1913, 0.7500, 0.8862)
Cd (0.3087, 0.2500, 0.3862)
Cd (0.6913, 0.7500, 0.6138)
Cd (0.8087, 0.2500, 0.1138)
P (0.0903, 0.2500, 0.7620)
P (0.2325, 0.7500, 0.2280)
P (0.2675, 0.2500, 0.7280)
P (0.4097, 0.7500, 0.2620)
P (0.5903, 0.2500, 0.7380)
P (0.7325, 0.7500, 0.2720)
P (0.7675, 0.2500, 0.7720)
P (0.9097, 0.7500, 0.2380)
O (0.0259, 0.2500, 0.6570)
O (0.0919, 0.0214, 0.8461)
O (0.0919, 0.4786, 0.8461)
O (0.1749, 0.2500, 0.6743)
O (0.1814, 0.7500, 0.1032)
O (0.2193, 0.5221, 0.3096)
O (0.2193, 0.9779, 0.3096)
O (0.2807, 0.0221, 0.8096)
O (0.2807, 0.4779, 0.8096)
O (0.3186, 0.2500, 0.6032)
O (0.3251, 0.7500, 0.1743)
O (0.4081, 0.5214, 0.3461)
O (0.4081, 0.9786, 0.3461)
O (0.4741, 0.7500, 0.1570)
O (0.5259, 0.2500, 0.8430)
O (0.5919, 0.0214, 0.6539)
O (0.5919, 0.4786, 0.6539)
O (0.6749, 0.2500, 0.8257)
O (0.6814, 0.7500, 0.3968)
O (0.7193, 0.5221, 0.1904)
O (0.7193, 0.9779, 0.1904)
O (0.7807, 0.0221, 0.6904)
O (0.7807, 0.4779, 0.6904)
O (0.8186, 0.2500, 0.8968)
O (0.8251, 0.7500, 0.3257)
O (0.9081, 0.5214, 0.1539)
O (0.9081, 0.9786, 0.1539)
O (0.9741, 0.7500, 0.3430)

=====

This entry pairs a crystal structure of CsCdP3O9 with its computed PXRD pattern. Radiation: Cu Kα (weighted mean of Kα1 and Kα2). Structure: the PBE geometry in Alexandria.

Peak list (8 most intense, 2θ from 15° to 90°, by angle)
| 2θ/deg | I_rel |
| --- | --- |
| 21.7 | 54.2 |
| 22.7 | 100.0 |
| 23.3 | 45.5 |
| 23.8 | 75.8 |
| 25.8 | 43.8 |
| 28.7 | 91.5 |
| 31.6 | 44.9 |
| 46.5 | 42.1 |

Structural model:
Lattice parameters (Å, degrees): 9.7312 7.6364 12.8604 90.00 90.00 90.00
Sites, in units of the cell vectors:
Cs (0.1141, 0.2500, 0.0829)
Cs (0.3859, 0.7500, 0.5829)
Cs (0.6141, 0.2500, 0.4171)
Cs (0.8859, 0.7500, 0.9171)
Cd (0.0146, 0.7500, 0.2232)
Cd (0.4854, 0.2500, 0.7232)
Cd (0.5146, 0.7500, 0.2768)
Cd (0.9854, 0.2500, 0.7768)
P (0.2045, 0.2500, 0.5413)
P (0.2475, 0.0528, 0.3506)
P (0.2475, 0.4472, 0.3506)
P (0.2525, 0.5528, 0.8506)
P (0.2525, 0.9472, 0.8506)
P (0.2955, 0.7500, 0.0413)
P (0.7045, 0.2500, 0.9587)
P (0.7475, 0.0528, 0.1494)
P (0.7475, 0.4472, 0.1494)
P (0.7525, 0.5528, 0.6494)
P (0.7525, 0.9472, 0.6494)
P (0.7955, 0.7500, 0.4587)
O (0.0946, 0.2500, 0.6213)
O (0.1220, 0.0489, 0.8667)
O (0.1220, 0.4511, 0.8667)
O (0.1418, 0.5109, 0.2750)
O (0.1418, 0.9891, 0.2750)
O (0.1456, 0.7500, 0.0699)
O (0.1748, 0.0857, 0.4625)
O (0.1748, 0.4143, 0.4625)
O (0.2063, 0.7500, 0.8162)
O (0.2937, 0.2500, 0.3162)
O (0.3252, 0.5857, 0.9625)
O (0.3252, 0.9143, 0.9625)
O (0.3544, 0.2500, 0.5699)
O (0.3582, 0.0109, 0.7750)
O (0.3582, 0.4891, 0.7750)
O (0.3780, 0.5489, 0.3667)
O (0.3780, 0.9511, 0.3667)
O (0.4054, 0.7500, 0.1213)
O (0.5946, 0.2500, 0.8787)
O (0.6220, 0.0489, 0.6333)
O (0.6220, 0.4511, 0.6333)
O (0.6418, 0.5109, 0.2250)
O (0.6418, 0.9891, 0.2250)
O (0.6456, 0.7500, 0.4301)
O (0.6748, 0.0857, 0.0375)
O (0.6748, 0.4143, 0.0375)
O (0.7063, 0.7500, 0.6838)
O (0.7937, 0.2500, 0.1838)
O (0.8252, 0.5857, 0.5375)
O (0.8252, 0.9143, 0.5375)
O (0.8544, 0.2500, 0.9301)
O (0.8582, 0.0109, 0.7250)
O (0.8582, 0.4891, 0.7250)
O (0.8780, 0.5489, 0.1333)
O (0.8780, 0.9511, 0.1333)
O (0.9054, 0.7500, 0.3787)

=====

This entry pairs a crystal structure of Cs3Pu2CdO9 with its computed PXRD pattern. Radiation: Cu Kα (weighted mean of Kα1 and Kα2). Structure: the PBE geometry in Alexandria.

Peak list (8 most intense, 2θ from 15° to 90°, by angle)
| 2θ/deg | I_rel |
| --- | --- |
| 20.1 | 20.2 |
| 28.6 | 100.0 |
| 28.7 | 96.0 |
| 40.9 | 53.9 |
| 50.5 | 19.6 |
| 50.7 | 61.8 |
| 67.1 | 18.8 |
| 81.8 | 21.6 |

Structural model:
Lattice parameters (Å, degrees): 6.2307 6.2307 7.6707 90.00 90.00 120.00
Sites, in units of the cell vectors:
Cs (0.0000, 0.0000, 0.0000)
Cs (0.3333, 0.6667, 0.6556)
Cs (0.6667, 0.3333, 0.3444)
Pu (0.3333, 0.6667, 0.1596)
Pu (0.6667, 0.3333, 0.8404)
Cd (0.0000, 0.0000, 0.5000)
O (0.0000, 0.5000, 0.0000)
O (0.1824, 0.3649, 0.3092)
O (0.1824, 0.8176, 0.3092)
O (0.3649, 0.1824, 0.6908)
O (0.5000, 0.0000, 0.0000)
O (0.5000, 0.5000, 0.0000)
O (0.6351, 0.8176, 0.3092)
O (0.8176, 0.1824, 0.6908)
O (0.8176, 0.6351, 0.6908)

=====

This entry pairs a crystal structure of CsPu2Cd2O7 with its computed PXRD pattern. Radiation: Cu Kα (weighted mean of Kα1 and Kα2). Structure: the PBE geometry in Alexandria.

Peak list (8 most intense, 2θ from 15° to 90°, by angle)
| 2θ/deg | I_rel |
| --- | --- |
| 21.3 | 38.8 |
| 24.7 | 60.6 |
| 29.6 | 100.0 |
| 30.0 | 75.9 |
| 33.8 | 44.2 |
| 39.6 | 43.2 |
| 42.4 | 35.5 |
| 52.5 | 41.7 |

Structural model:
Lattice parameters (Å, degrees): 10.5742 10.5742 10.5742 156.73 155.14 34.31
Sites, in units of the cell vectors:
Cs (0.0000, 0.0000, 0.0000)
Pu (0.3926, 0.3926, 0.0000)
Pu (0.6074, 0.6074, 0.0000)
Cd (0.2290, 0.7290, 0.5000)
Cd (0.7710, 0.2710, 0.5000)
O (0.1153, 0.6153, 0.5000)
O (0.2761, 0.2761, 0.0000)
O (0.3887, 0.8887, 0.5000)
O (0.5000, 0.5000, 0.0000)
O (0.6113, 0.1113, 0.5000)
O (0.7239, 0.7239, 0.0000)
O (0.8847, 0.3847, 0.5000)

=====

This entry pairs a crystal structure of CsRb2CdO with its computed PXRD pattern. Radiation: Cu Kα (weighted mean of Kα1 and Kα2). Structure: the PBE geometry in Alexandria.

Peak list (8 most intense, 2θ from 15° to 90°, by angle)
| 2θ/deg | I_rel |
| --- | --- |
| 26.3 | 100.0 |
| 29.5 | 22.0 |
| 30.9 | 38.8 |
| 43.2 | 30.0 |
| 44.3 | 13.9 |
| 50.4 | 16.4 |
| 52.2 | 29.4 |
| 54.1 | 15.2 |

Structural model:
Lattice parameters (Å, degrees): 5.7831 5.7831 6.0627 90.00 90.00 90.00
Sites, in units of the cell vectors:
Cs (0.0000, 0.0000, 0.0000)
Rb (0.0000, 0.5000, 0.5000)
Rb (0.5000, 0.0000, 0.5000)
Cd (0.5000, 0.5000, 0.0000)
O (0.0000, 0.0000, 0.5000)

=====

Number 4 is which compound?
Cs3Pu2CdO9